(1)
Starting from a cell relaxed with PBE, the powder XRD pattern of Li2PtSe was simulated for Cu Kα, 1.54184 Å.

Cell and atoms:
Cell lengths 2.859, 3.829, 5.438 Å; angles 90.00, 90.27, 90.00 degrees
Fractional positions:
Li  0.001  0.000  0.258
Li  0.999  0.000  0.742
Pt  0.500  0.500  0.500
Se  0.500  0.500  0.000

Top 12 peaks for 2θ = 5–70°, most intense first:
2θ (°)	I (rel.)
23.23	1000
39.33	595
40.70	541
31.28	474
32.94	414
16.30	399
52.11	228
52.31	225
28.51	214
45.95	191
46.18	189
47.49	174

***

(2)
Starting from a cell relaxed with PBE, the powder XRD pattern of Li2SiPt was simulated for Cu Kα, 1.54184 Å.

Cell and atoms:
Cell lengths 3.533, 3.654, 8.404 Å; angles 90.00, 90.00, 90.00 degrees
Fractional positions:
Li  0.000  0.000  0.250
Li  0.000  0.000  0.750
Li  0.500  0.500  0.250
Li  0.500  0.500  0.750
Si  0.000  0.500  0.000
Si  0.500  0.000  0.500
Pt  0.000  0.500  0.500
Pt  0.500  0.000  0.000

Top 12 peaks for 2θ = 5–70°, most intense first:
2θ (°)	I (rel.)
21.14	1000
41.55	840
26.60	671
27.38	625
35.34	545
56.88	280
40.58	226
41.12	219
43.05	190
57.88	164
54.79	156
59.12	154

***

(3)
Starting from a cell relaxed with PBE, the powder XRD pattern of Li6SiPt2 was simulated for Cu Kα, 1.54184 Å.

Cell and atoms:
Cell lengths 8.903, 8.903, 8.903 Å; angles 28.87, 28.87, 28.87 degrees
Fractional positions:
Li  0.075  0.075  0.075
Li  0.203  0.203  0.203
Li  0.307  0.307  0.307
Li  0.693  0.693  0.693
Li  0.797  0.797  0.797
Li  0.925  0.925  0.925
Si  0.500  0.500  0.500
Pt  0.411  0.411  0.411
Pt  0.589  0.589  0.589

Top 12 peaks for 2θ = 5–70°, most intense first:
2θ (°)	I (rel.)
23.40	1000
29.06	504
20.84	440
40.66	390
46.12	344
42.44	284
24.18	275
60.21	254
45.60	240
27.07	236
33.85	186
47.44	154

***

(4)
Starting from a cell relaxed with PBE, the powder XRD pattern of Li3Si2Pt4 was simulated for Cu Kα, 1.54184 Å.

Cell and atoms:
Cell lengths 4.153, 4.153, 8.013 Å; angles 90.21, 90.21, 59.83 degrees
Fractional positions:
Li  0.000  0.000  0.000
Li  0.334  0.334  0.454
Li  0.666  0.666  0.546
Si  0.334  0.334  0.783
Si  0.666  0.666  0.217
Pt  0.000  0.000  0.315
Pt  0.000  0.000  0.685
Pt  0.333  0.333  0.106
Pt  0.667  0.667  0.894

Top 12 peaks for 2θ = 5–70°, most intense first:
2θ (°)	I (rel.)
42.12	1000
27.24	978
33.55	965
43.59	952
27.13	649
42.22	509
43.71	472
33.40	464
11.04	452
56.10	329
62.39	313
52.18	258

***

(5)
Starting from a cell relaxed with PBE, the powder XRD pattern of Li3Si6Pt5 was simulated for Cu Kα, 1.54184 Å.

Cell and atoms:
Cell lengths 3.956, 12.269, 8.955 Å; angles 90.00, 90.00, 90.00 degrees
Fractional positions:
Li  0.250  0.050  0.247
Li  0.250  0.450  0.247
Li  0.250  0.750  0.222
Li  0.750  0.250  0.778
Li  0.750  0.550  0.753
Li  0.750  0.950  0.753
Si  0.250  0.065  0.916
Si  0.250  0.250  0.119
Si  0.250  0.250  0.487
Si  0.250  0.435  0.916
Si  0.250  0.589  0.510
Si  0.250  0.911  0.510
Si  0.750  0.089  0.490
Si  0.750  0.411  0.490
Si  0.750  0.565  0.084
Si  0.750  0.750  0.513
Si  0.750  0.750  0.881
Si  0.750  0.935  0.084
Pt  0.250  0.088  0.643
Pt  0.250  0.412  0.643
Pt  0.250  0.632  0.953
Pt  0.250  0.750  0.673
Pt  0.250  0.868  0.953
Pt  0.750  0.132  0.047
Pt  0.750  0.250  0.327
Pt  0.750  0.368  0.047
Pt  0.750  0.588  0.357
Pt  0.750  0.912  0.357

Top 12 peaks for 2θ = 5–70°, most intense first:
2θ (°)	I (rel.)
24.60	1000
29.58	638
23.92	603
33.05	538
37.47	428
29.94	408
45.88	375
25.67	372
46.62	305
43.98	304
51.99	258
55.54	245

***

(6)
Starting from a cell relaxed with PBE, the powder XRD pattern of Li4Si6Pt7 was simulated for Cu Kα, 1.54184 Å.

Cell and atoms:
Cell lengths 6.893, 6.893, 6.893 Å; angles 109.47, 109.47, 109.47 degrees
Fractional positions:
Li  0.000  0.000  0.500
Li  0.000  0.500  0.000
Li  0.500  0.000  0.000
Li  0.500  0.500  0.500
Si  0.000  0.312  0.312
Si  0.000  0.688  0.688
Si  0.312  0.000  0.312
Si  0.312  0.312  0.000
Si  0.688  0.000  0.688
Si  0.688  0.688  0.000
Pt  0.000  0.000  0.000
Pt  0.250  0.500  0.750
Pt  0.250  0.750  0.500
Pt  0.500  0.250  0.750
Pt  0.500  0.750  0.250
Pt  0.750  0.250  0.500
Pt  0.750  0.500  0.250

Top 12 peaks for 2θ = 5–70°, most intense first:
2θ (°)	I (rel.)
27.45	1000
42.49	846
22.34	696
39.21	666
45.59	590
66.44	360
54.04	269
51.33	251
15.74	241
64.07	172
31.80	55
48.52	50